# PrErCN2O2
Calculated PXRD pattern, Cu Kα. Input: the PBE geometry in OQMD.
Intensities are scaled so that the largest is 100.

Structural model:
```
PrErCN2O2
1.0
3.797 0.000 0.000
-1.898 3.288 0.000
0.000 0.000 8.225
Pr Er C N O
1 1 1 2 2
Direct
0.000 0.000 0.000
0.667 0.333 0.642
0.333 0.667 0.325
0.333 0.667 0.174
0.333 0.667 0.475
0.000 0.000 0.706
0.667 0.333 0.912
```

The 12 most intense peaks (10° ≤ 2θ ≤ 80°), by angle:
10.76 deg, rel. 48, hkl 0 0 1
21.61 deg, rel. 19, hkl 0 0 2
27.12 deg, rel. 17, hkl 1 0 0
29.25 deg, rel. 100, hkl 0 1 1
32.66 deg, rel. 18, hkl 0 0 3
34.94 deg, rel. 42, hkl 1 0 2
42.95 deg, rel. 21, hkl 0 1 3
47.92 deg, rel. 29, hkl 1 1 0
52.49 deg, rel. 24, hkl 0 1 4
57.14 deg, rel. 15, hkl 2 0 1
59.20 deg, rel. 20, hkl 1 1 3
77.72 deg, rel. 12, hkl 1 2 1